Rb4Th3Te8: computed powder X-ray diffraction pattern (CuKα), based on a cell relaxed with GGA-PBE.
Peak positions follow from Bragg's law for the DFT cell and can differ from measured ones.

```
data_Rb4Th3Te8
_cell_length_a 9.4721
_cell_length_b 9.4721
_cell_length_c 27.4787
_cell_angle_alpha 90.00
_cell_angle_beta 90.00
_cell_angle_gamma 120.00
_symmetry_space_group_name_H-M 'R -3 m'
_symmetry_Int_Tables_number 166
_symmetry_space_group_name_Hall '-R 3 2"'
loop_
_atom_site_label
_atom_site_fract_x
_atom_site_fract_y
_atom_site_fract_z
_atom_site_occupancy
Rb1 0.0000 0.0000 0.0000 1
Rb2 0.0000 0.0000 0.1421 1
Rb3 0.0000 0.0000 0.5000 1
Th1 0.0000 0.5000 0.0000 1
Te1 0.0000 0.0000 0.2720 1
Te2 0.0351 0.5176 0.2690 1
```

Largest 6 diffraction maxima, most intense first, 15 to 90 degrees two-theta:
2θ = 25.3°, intensity 100.0
2θ = 31.5°, intensity 60.7
2θ = 38.0°, intensity 53.8
2θ = 34.0°, intensity 43.8
2θ = 21.9°, intensity 25.8
2θ = 42.4°, intensity 22.8


Cs2PuGaO4: computed powder X-ray diffraction pattern (CuKα), based on a cell relaxed with GGA-PBE.
Peak positions follow from Bragg's law for the DFT cell and can differ from measured ones.

```
data_Cs2PuGaO4
_cell_length_a 6.481
_cell_length_b 7.449
_cell_length_c 7.291
_cell_angle_alpha 90.00
_cell_angle_beta 90.00
_cell_angle_gamma 90.00
_symmetry_space_group_name_H-M 'P m m n'
_symmetry_Int_Tables_number 59
loop_
_symmetry_equiv_pos_as_xyz
'x,y,z'
'-x,-y,-z'
'-x+1/2,-y+1/2,z'
'x+1/2,y+1/2,-z'
'x+1/2,-y,-z'
'-x+1/2,y,z'
'-x,y+1/2,-z'
'x,-y+1/2,z'
loop_
_atom_site_label
_atom_site_fract_x
_atom_site_fract_y
_atom_site_fract_z
_atom_site_occupancy
Cs1 0.250 0.002 0.211 1
Pu1 0.250 0.250 0.671 1
Ga1 0.250 0.750 0.658 1
O1 0.013 0.750 0.506 1
O2 0.250 0.530 0.786 1
```

Largest 6 diffraction maxima, most intense first, 15 to 90 degrees two-theta:
2θ = 30.3°, intensity 100.0
2θ = 27.5°, intensity 43.1
2θ = 28.1°, intensity 34.8
2θ = 37.1°, intensity 30.2
2θ = 24.4°, intensity 26.5
2θ = 50.4°, intensity 24.5


Th2UPaC4: computed powder X-ray diffraction pattern (CuKα), based on a cell relaxed with GGA-PBE.
Peak positions follow from Bragg's law for the DFT cell and can differ from measured ones.

```
data_Th2UPaC4
_cell_length_a 6.329
_cell_length_b 3.642
_cell_length_c 6.350
_cell_angle_alpha 90.00
_cell_angle_beta 109.59
_cell_angle_gamma 90.00
_symmetry_space_group_name_H-M 'P 1 2/m 1'
_symmetry_Int_Tables_number 10
loop_
_symmetry_equiv_pos_as_xyz
'x,y,z'
'-x,-y,-z'
'-x,y,-z'
'x,-y,z'
loop_
_atom_site_label
_atom_site_fract_x
_atom_site_fract_y
_atom_site_fract_z
_atom_site_occupancy
Th1 0.000 0.000 0.000 1
Th2 0.500 0.500 0.000 1
U1 0.000 0.500 0.500 1
Pa1 0.500 0.000 0.500 1
C1 0.226 0.000 0.709 1
C2 0.253 0.500 0.284 1
```

Largest 6 diffraction maxima, most intense first, 15 to 90 degrees two-theta:
2θ = 30.0°, intensity 100.0
2θ = 34.8°, intensity 55.0
2θ = 29.9°, intensity 34.0
2θ = 59.4°, intensity 31.4
2θ = 49.9°, intensity 29.8
2θ = 34.6°, intensity 27.8


KTl2P2S7: computed powder X-ray diffraction pattern (CuKα), based on a cell relaxed with GGA-PBE.
Peak positions follow from Bragg's law for the DFT cell and can differ from measured ones.

```
data_KTl2P2S7
_cell_length_a 6.3044
_cell_length_b 6.3044
_cell_length_c 30.6192
_cell_angle_alpha 90.00
_cell_angle_beta 90.00
_cell_angle_gamma 120.00
_symmetry_space_group_name_H-M 'R 3 2'
_symmetry_Int_Tables_number 155
_symmetry_space_group_name_Hall 'R 3 2"'
loop_
_atom_site_label
_atom_site_fract_x
_atom_site_fract_y
_atom_site_fract_z
_atom_site_occupancy
K1 0.0000 0.0000 0.0000 1
Tl1 0.0000 0.0000 0.1834 1
P1 0.0000 0.0000 0.4256 1
S1 0.0000 0.0000 0.5000 1
S2 0.0137 0.3690 0.0769 1
```

Largest 6 diffraction maxima, most intense first, 15 to 90 degrees two-theta:
2θ = 21.8°, intensity 100.0
2θ = 33.4°, intensity 86.5
2θ = 29.7°, intensity 82.3
2θ = 28.3°, intensity 66.2
2θ = 28.5°, intensity 37.4
2θ = 50.1°, intensity 29.9


ThCuH6Rh: computed powder X-ray diffraction pattern (CuKα), based on a cell relaxed with GGA-PBE.
Peak positions follow from Bragg's law for the DFT cell and can differ from measured ones.

```
data_ThCuH6Rh
_cell_length_a 4.5852
_cell_length_b 4.5852
_cell_length_c 4.3455
_cell_angle_alpha 90.00
_cell_angle_beta 90.00
_cell_angle_gamma 120.00
_symmetry_space_group_name_H-M 'P -6 m 2'
_symmetry_Int_Tables_number 187
_symmetry_space_group_name_Hall 'P -6 2'
loop_
_atom_site_label
_atom_site_fract_x
_atom_site_fract_y
_atom_site_fract_z
_atom_site_occupancy
Th1 0.0000 0.0000 0.0000 1
Cu1 0.3333 0.6667 0.5000 1
H1 0.5003 0.0006 0.2339 1
Rh1 0.6667 0.3333 0.5000 1
```

Largest 6 diffraction maxima, most intense first, 15 to 90 degrees two-theta:
2θ = 30.5°, intensity 100.0
2θ = 39.3°, intensity 40.8
2θ = 58.5°, intensity 25.9
2θ = 50.5°, intensity 24.9
2θ = 65.8°, intensity 22.5
2θ = 22.4°, intensity 19.5


Dy5Ho2Mg: computed powder X-ray diffraction pattern (CuKα), based on a cell relaxed with GGA-PBE.
Peak positions follow from Bragg's law for the DFT cell and can differ from measured ones.

```
data_Dy5Ho2Mg
_cell_length_a 3.536
_cell_length_b 7.745
_cell_length_c 18.255
_cell_angle_alpha 91.74
_cell_angle_beta 90.02
_cell_angle_gamma 103.18
_symmetry_space_group_name_H-M 'P -1'
_symmetry_Int_Tables_number 2
loop_
_symmetry_equiv_pos_as_xyz
'x,y,z'
'-x,-y,-z'
loop_
_atom_site_label
_atom_site_fract_x
_atom_site_fract_y
_atom_site_fract_z
_atom_site_occupancy
Dy1 0.029 0.058 0.095 1
Dy2 0.093 0.187 0.280 1
Dy3 0.217 0.433 0.660 1
Dy4 0.282 0.563 0.844 1
Dy5 0.469 0.938 0.409 1
Ho1 0.157 0.314 0.467 1
Ho2 0.344 0.687 0.028 1
Mg1 0.405 0.813 0.217 1
```

Largest 6 diffraction maxima, most intense first, 15 to 90 degrees two-theta:
2θ = 31.2°, intensity 100.0
2θ = 36.0°, intensity 45.6
2θ = 31.4°, intensity 33.7
2θ = 36.8°, intensity 21.5
2θ = 52.4°, intensity 15.7
2θ = 52.5°, intensity 15.4


Tl2Cu3F8: computed powder X-ray diffraction pattern (CuKα), based on a cell relaxed with GGA-PBE.
Peak positions follow from Bragg's law for the DFT cell and can differ from measured ones.

```
data_Tl2Cu3F8
_cell_length_a 12.529
_cell_length_b 6.017
_cell_length_c 6.158
_cell_angle_alpha 90.00
_cell_angle_beta 106.88
_cell_angle_gamma 90.00
_symmetry_space_group_name_H-M 'C 1 2/m 1'
_symmetry_Int_Tables_number 12
loop_
_symmetry_equiv_pos_as_xyz
'x,y,z'
'-x,-y,-z'
'-x,y,-z'
'x,-y,z'
'x+1/2,y+1/2,z'
'-x+1/2,-y+1/2,-z'
'-x+1/2,y+1/2,-z'
'x+1/2,-y+1/2,z'
loop_
_atom_site_label
_atom_site_fract_x
_atom_site_fract_y
_atom_site_fract_z
_atom_site_occupancy
Tl1 0.210 0.000 0.165 1
Cu1 0.000 0.250 0.500 1
Cu2 0.000 0.500 0.000 1
F1 0.080 0.278 0.886 1
F2 0.094 0.500 0.451 1
F3 0.098 0.000 0.476 1
```

Largest 6 diffraction maxima, most intense first, 15 to 90 degrees two-theta:
2θ = 27.4°, intensity 100.0
2θ = 23.8°, intensity 91.0
2θ = 20.9°, intensity 86.5
2θ = 29.7°, intensity 67.6
2θ = 26.8°, intensity 62.6
2θ = 33.3°, intensity 54.6


Sc2GeHPd6: computed powder X-ray diffraction pattern (CuKα), based on a cell relaxed with GGA-PBE.
Peak positions follow from Bragg's law for the DFT cell and can differ from measured ones.

```
data_Sc2GeHPd6
_cell_length_a 9.471
_cell_length_b 5.626
_cell_length_c 6.673
_cell_angle_alpha 90.00
_cell_angle_beta 117.57
_cell_angle_gamma 90.00
_symmetry_space_group_name_H-M 'C 1 m 1'
_symmetry_Int_Tables_number 8
loop_
_symmetry_equiv_pos_as_xyz
'x,y,z'
'x,-y,z'
'x+1/2,y+1/2,z'
'x+1/2,-y+1/2,z'
loop_
_atom_site_label
_atom_site_fract_x
_atom_site_fract_y
_atom_site_fract_z
_atom_site_occupancy
Sc1 0.000 0.000 0.000 1
Sc2 0.019 0.500 0.393 1
Ge1 0.260 0.500 0.197 1
H1 0.259 0.000 0.698 1
Pd1 0.046 0.000 0.440 1
Pd2 0.194 0.252 0.852 1
Pd3 0.325 0.251 0.541 1
Pd4 0.473 0.000 0.953 1
```

Largest 6 diffraction maxima, most intense first, 15 to 90 degrees two-theta:
2θ = 42.7°, intensity 100.0
2θ = 38.5°, intensity 63.3
2θ = 38.3°, intensity 58.8
2θ = 45.2°, intensity 58.0
2θ = 21.0°, intensity 49.5
2θ = 40.6°, intensity 43.1